Entry 1:
Structure and simulated PXRD pattern of Ni2H6Pd5 (the GGA-PBE geometry in Alexandria; Cu Kα, 1.54184 Å).
Kinematic intensities with the Lorentz-polarization factor, no thermal factor.

Crystal structure
```
data_Ni2H6Pd5
_space_group_name_H-M_alt 'C 1 2/c 1'
_space_group_IT_number 15
_cell_length_a 7.569
_cell_length_b 4.898
_cell_length_c 12.844
_cell_angle_alpha 90.00
_cell_angle_beta 90.43
_cell_angle_gamma 90.00
loop_
_space_group_symop_operation_xyz
'x,y,z'
'-x,-y,-z'
'-x,y,-z+1/2'
'x,-y,z+1/2'
'x+1/2,y+1/2,z'
'-x+1/2,-y+1/2,-z'
'-x+1/2,y+1/2,-z+1/2'
'x+1/2,-y+1/2,z+1/2'
loop_
_atom_site_label
_atom_site_type_symbol
_atom_site_fract_x
_atom_site_fract_y
_atom_site_fract_z
_atom_site_occupancy
Ni1 Ni 0.216 0.247 0.397 1
H1 H 0.020 0.090 0.407 1
H2 H 0.161 0.417 0.511 1
H3 H 0.213 0.411 0.715 1
Pd1 Pd 0.000 0.259 0.750 1
Pd2 Pd 0.069 0.252 0.963 1
Pd3 Pd 0.146 0.234 0.181 1
```

Peak list (10 most intense, 2θ = 10–90°, by angle)
| (hkl) | Position (°2θ) | intensity |
| --- | --- | --- |
| 0 2 0 | 36.7 | 66 |
| 2 0 4 | 36.8 | 66 |
| 3 1 -1 | 40.8 | 100 |
| 1 1 -5 | 41.4 | 96 |
| 2 2 4 | 53.0 | 45 |
| 5 1 3 | 68.6 | 20 |
| 3 3 -1 | 68.9 | 20 |
| 1 3 -5 | 69.3 | 19 |
| 1 1 9 | 69.9 | 19 |
| 2 2 -10 | 89.9 | 20 |



Entry 2:
Structure and simulated PXRD pattern of Ni4H3Pd (the GGA-PBE geometry in Alexandria; Cu Kα, 1.54184 Å).
Kinematic intensities with the Lorentz-polarization factor, no thermal factor.

Crystal structure
```
data_Ni4H3Pd
_space_group_name_H-M_alt 'C 1 c 1'
_space_group_IT_number 9
_cell_length_a 9.188
_cell_length_b 4.572
_cell_length_c 6.725
_cell_angle_alpha 90.00
_cell_angle_beta 111.88
_cell_angle_gamma 90.00
loop_
_space_group_symop_operation_xyz
'x,y,z'
'x,-y,z+1/2'
'x+1/2,y+1/2,z'
'x+1/2,-y+1/2,z+1/2'
loop_
_atom_site_label
_atom_site_type_symbol
_atom_site_fract_x
_atom_site_fract_y
_atom_site_fract_z
_atom_site_occupancy
Ni1 Ni 0.000 0.161 0.000 1
Ni2 Ni 0.207 0.164 0.402 1
Ni3 Ni 0.306 0.328 0.104 1
Ni4 Ni 0.403 0.175 0.797 1
H1 H 0.194 0.034 0.143 1
H2 H 0.320 0.495 0.358 1
H3 H 0.397 0.017 0.534 1
Pd1 Pd 0.102 0.340 0.701 1
```

Peak list (10 most intense, 2θ = 10–90°, by angle)
| (hkl) | Position (°2θ) | intensity |
| --- | --- | --- |
| 1 1 2 | 39.5 | 68 |
| 4 0 -2 | 41.5 | 80 |
| 3 1 1 | 44.3 | 100 |
| 2 2 -1 | 44.8 | 99 |
| 1 1 -3 | 45.4 | 93 |
| 1 3 2 | 71.6 | 29 |
| 7 1 -1 | 76.8 | 18 |
| 6 2 -3 | 77.9 | 17 |
| 5 3 0 | 85.4 | 18 |
| 2 0 -6 | 87.9 | 21 |



Entry 3:
Structure and simulated PXRD pattern of Pm2Ni2H6Pd (the GGA-PBE geometry in Alexandria; Cu Kα, 1.54184 Å).
Kinematic intensities with the Lorentz-polarization factor, no thermal factor.

Crystal structure
```
data_Pm2Ni2H6Pd
_space_group_name_H-M_alt 'R -3 m'
_space_group_IT_number 166
_space_group_name_Hall '-R 3 2"'
_cell_length_a 5.1484
_cell_length_b 5.1484
_cell_length_c 15.1906
_cell_angle_alpha 90.00
_cell_angle_beta 90.00
_cell_angle_gamma 120.00
loop_
_atom_site_label
_atom_site_type_symbol
_atom_site_fract_x
_atom_site_fract_y
_atom_site_fract_z
_atom_site_occupancy
Pm1 Pm 0.0000 0.0000 0.2352 1
Ni1 Ni 0.0000 0.0000 0.4168 1
H1 H 0.0269 0.5134 0.7555 1
Pd1 Pd 0.0000 0.0000 0.0000 1
```

Peak list (10 most intense, 2θ = 10–90°, by angle)
| (hkl) | Position (°2θ) | intensity |
| --- | --- | --- |
| 0 1 2 | 23.1 | 12 |
| 1 0 4 | 30.9 | 48 |
| 1 1 0 | 34.9 | 100 |
| 0 1 5 | 35.8 | 41 |
| 0 2 4 | 47.3 | 16 |
| 1 1 6 | 50.6 | 18 |
| 2 0 5 | 50.8 | 15 |
| 2 1 4 | 60.1 | 15 |
| 3 0 0 | 62.5 | 18 |
| 1 2 5 | 63.1 | 15 |